# 1
Starting from a crystal structure in Alexandria, relaxed with PBE, the powder XRD pattern of Hf6InSb3 was computed for a wavelength of 1.5418 Å.
Peak positions follow from Bragg's law for the DFT cell and can differ from measured ones.

Cell lengths 9.243, 14.111, 7.290 Å; angles 90.00, 90.00, 90.00 degrees
Space group Cmc2_1 (No. 36)
One atom of each set of equivalent atoms:
Hf1 0.000 0.047 0.000 x4
Hf2 0.000 0.260 0.249 x4
Hf3 0.192 0.430 0.175 x8
Hf4 0.233 0.214 0.984 x8
In1 0.000 0.182 0.687 x4
Sb1 0.000 0.424 0.502 x4
Sb2 0.195 0.102 0.317 x8

Top 10 peaks for 2θ from 10° to 90°, in order of rising 2θ:
(1 1 1), 2θ 16.7, rel. 18; (2 2 2), 2θ 33.8, rel. 100; (2 4 1), 2θ 34.3, rel. 74; (1 5 1), 2θ 35.5, rel. 17; (3 3 1), 2θ 37.0, rel. 35; (3 1 2), 2θ 38.8, rel. 17; (4 0 0), 2θ 39.0, rel. 20; (0 2 3), 2θ 39.2, rel. 34; (0 6 1), 2θ 40.3, rel. 17; (2 4 2), 2θ 40.6, rel. 17



# 2
Starting from a crystal structure in Alexandria, relaxed with PBE, the powder XRD pattern of Ti5B2Sb was computed for a wavelength of 1.5418 Å.
Peak positions follow from Bragg's law for the DFT cell and can differ from measured ones.

Cell lengths 6.218, 6.218, 12.202 Å; angles 90.00, 90.00, 90.00 degrees
Space group I4/mcm (No. 140)
One atom of each set of equivalent atoms:
Ti1 0.000 0.000 0.000 x4
Ti2 0.174 0.326 0.122 x16
B1 0.110 0.390 0.500 x8
Sb1 0.000 0.000 0.250 x4

Top 10 peaks for 2θ from 10° to 90°, in order of rising 2θ:
(1 1 0), 2θ 20.2, rel. 57; (1 1 2), 2θ 25.0, rel. 36; (2 1 1), 2θ 33.0, rel. 39; (1 1 4), 2θ 35.8, rel. 78; (2 1 3), 2θ 39.2, rel. 31; (2 2 0), 2θ 41.1, rel. 35; (2 0 4), 2θ 41.5, rel. 100; (3 1 0), 2θ 46.2, rel. 63; (3 3 4), 2θ 71.4, rel. 28; (3 1 8), 2θ 79.5, rel. 23



# 3
Starting from a crystal structure in Alexandria, relaxed with PBE, the powder XRD pattern of CeIn3Au was computed for a wavelength of 1.5418 Å.
Peak positions follow from Bragg's law for the DFT cell and can differ from measured ones.

Cell lengths 9.204, 4.634, 11.850 Å; angles 90.00, 90.00, 90.00 degrees
Space group Pnma (No. 62)
One atom of each set of equivalent atoms:
Ce1 0.199 0.250 0.007 x4
In1 0.070 0.250 0.596 x4
In2 0.100 0.750 0.821 x4
In3 0.132 0.750 0.202 x4
Au1 0.103 0.250 0.358 x4

Top 10 peaks for 2θ from 10° to 90°, in order of rising 2θ:
(1 0 1), 2θ 12.2, rel. 13; (1 1 3), 2θ 31.3, rel. 100; (3 1 1), 2θ 35.9, rel. 43; (0 2 0), 2θ 38.9, rel. 32; (4 0 0), 2θ 39.1, rel. 9; (1 0 5), 2θ 39.3, rel. 15; (3 1 3), 2θ 42.1, rel. 22; (4 1 4), 2θ 54.2, rel. 9; (4 2 0), 2θ 56.4, rel. 16; (1 3 3), 2θ 65.7, rel. 12



# 4
Starting from a crystal structure in Alexandria, relaxed with PBE, the powder XRD pattern of In2GeS4 was computed for a wavelength of 1.5418 Å.
Peak positions follow from Bragg's law for the DFT cell and can differ from measured ones.

Cell lengths 13.777, 3.891, 6.555 Å; angles 90.00, 114.25, 90.00 degrees
Space group C2/m (No. 12)
One atom of each set of equivalent atoms:
In1 0.225 0.000 0.212 x4
Ge1 0.000 0.500 0.500 x2
S1 0.126 0.500 0.946 x4
S2 0.139 0.000 0.494 x4

Top 10 peaks for 2θ from 10° to 90°, in order of rising 2θ:
(2 0 0), 2θ 14.1, rel. 100; (1 1 -1), 2θ 26.7, rel. 98; (2 0 -2), 2θ 27.3, rel. 50; (1 1 1), 2θ 29.8, rel. 80; (3 1 0), 2θ 31.4, rel. 42; (4 0 -2), 2θ 31.7, rel. 40; (3 1 1), 2θ 38.6, rel. 74; (5 1 -1), 2θ 40.1, rel. 60; (6 0 -2), 2θ 41.3, rel. 35; (3 1 -3), 2θ 47.8, rel. 61